Theoretical powder X-ray diffraction pattern
Compound: Dy2Cu15Ag2
Radiation: λ = 1.5418 Å (Cu Kα)
Structure: a crystal structure in Alexandria, relaxed with PBE

Atomic structure:
a = 6.546 Å, b = 6.546 Å, c = 6.546 Å
α = 83.11°, β = 83.11°, γ = 83.11°
Element x y z (fractional)
Dy1 0.153 0.153 0.153
Dy2 0.847 0.847 0.847
Cu1 0.000 0.500 0.500
Cu2 0.151 0.151 0.661
Cu3 0.151 0.661 0.151
Cu4 0.198 0.500 0.802
Cu5 0.198 0.802 0.500
Cu6 0.339 0.849 0.849
Cu7 0.500 0.000 0.500
Cu8 0.500 0.198 0.802
Cu9 0.500 0.500 0.000
Cu10 0.500 0.802 0.198
Cu11 0.661 0.151 0.151
Cu12 0.802 0.198 0.500
Cu13 0.802 0.500 0.198
Cu14 0.849 0.339 0.849
Cu15 0.849 0.849 0.339
Ag1 0.395 0.395 0.395
Ag2 0.605 0.605 0.605

The 12 most intense peaks (2θ from 10° to 90°), by angle:
2θ/deg  I/Imax
29.56  20
30.72  23
35.82  62
37.19  43
41.59  78
41.95  100
42.81  32
42.98  31
47.10  36
68.56  17
75.90  25
78.06  22